[1]
The following is a calculated X-ray diffraction stick pattern of YAlB2P. It was derived from a crystal structure in Alexandria, relaxed with GGA-PBE, using Cu Kα.

```
data_YAlB2P
_symmetry_space_group_name_H-M 'P 4/m m m'
_symmetry_Int_Tables_number 123
_symmetry_space_group_name_Hall '-P 4 2'
_cell_length_a 4.132
_cell_length_b 4.132
_cell_length_c 4.814
_cell_angle_alpha 90.00
_cell_angle_beta 90.00
_cell_angle_gamma 90.00
loop_
_atom_site_label
_atom_site_type_symbol
_atom_site_fract_x
_atom_site_fract_y
_atom_site_fract_z
Y1 Y 0.000 0.000 0.000
Al1 Al 0.500 0.500 0.500
B1 B 0.000 0.500 0.500
P1 P 0.500 0.500 0.000
```

Peak list (10 most intense, 10° ≤ 2θ ≤ 90°, sorted by position)
2θ = 18.4°, I 55.9; 2θ = 28.5°, I 100.0; 2θ = 30.6°, I 95.8; 2θ = 36.0°, I 85.5; 2θ = 37.4°, I 42.5; 2θ = 43.8°, I 52.5; 2θ = 49.0°, I 50.6; 2θ = 53.1°, I 34.7; 2θ = 58.9°, I 41.8; 2θ = 84.3°, I 20.6

=====

[2]
The following is a calculated X-ray diffraction stick pattern of Th2Al3Ag. It was derived from a crystal structure in Alexandria, relaxed with GGA-PBE, using Cu Kα.

```
data_Th2Al3Ag
_symmetry_space_group_name_H-M 'F m m m'
_symmetry_Int_Tables_number 69
_symmetry_space_group_name_Hall '-F 2 2'
_cell_length_a 7.688
_cell_length_b 9.195
_cell_length_c 15.892
_cell_angle_alpha 90.00
_cell_angle_beta 90.00
_cell_angle_gamma 90.00
loop_
_atom_site_label
_atom_site_type_symbol
_atom_site_fract_x
_atom_site_fract_y
_atom_site_fract_z
Th1 Th 0.248 0.000 0.000
Th2 Th 0.250 0.250 0.250
Al1 Al 0.000 0.000 0.334
Al2 Al 0.000 0.248 0.417
Ag1 Ag 0.000 0.000 0.167
```

Peak list (10 most intense, 10° ≤ 2θ ≤ 90°, sorted by position)
2θ = 22.4°, I 50.6; 2θ = 32.4°, I 100.0; 2θ = 39.2°, I 41.4; 2θ = 45.6°, I 8.3; 2θ = 46.0°, I 8.6; 2θ = 51.8°, I 27.2; 2θ = 52.9°, I 10.9; 2θ = 63.1°, I 20.7; 2θ = 66.8°, I 16.9; 2θ = 66.9°, I 8.5

=====

What did the first record say?
The following is a calculated X-ray diffraction stick pattern of YAlB2P. It was derived from a crystal structure in Alexandria, relaxed with GGA-PBE, using Cu Kα.

```
data_YAlB2P
_symmetry_space_group_name_H-M 'P 4/m m m'
_symmetry_Int_Tables_number 123
_symmetry_space_group_name_Hall '-P 4 2'
_cell_length_a 4.132
_cell_length_b 4.132
_cell_length_c 4.814
_cell_angle_alpha 90.00
_cell_angle_beta 90.00
_cell_angle_gamma 90.00
loop_
_atom_site_label
_atom_site_type_symbol
_atom_site_fract_x
_atom_site_fract_y
_atom_site_fract_z
Y1 Y 0.000 0.000 0.000
Al1 Al 0.500 0.500 0.500
B1 B 0.000 0.500 0.500
P1 P 0.500 0.500 0.000
```

Peak list (10 most intense, 10° ≤ 2θ ≤ 90°, sorted by position)
2θ = 18.4°, I 55.9; 2θ = 28.5°, I 100.0; 2θ = 30.6°, I 95.8; 2θ = 36.0°, I 85.5; 2θ = 37.4°, I 42.5; 2θ = 43.8°, I 52.5; 2θ = 49.0°, I 50.6; 2θ = 53.1°, I 34.7; 2θ = 58.9°, I 41.8; 2θ = 84.3°, I 20.6